(1)
# FeS2
Computed X-ray powder pattern, Cu Kα X-rays. Input: a cell relaxed with GGA-PBE.

The 10 most intense peaks (2θ from 10° to 80°), sorted by position:
(1 1 1), d 3.120, 2θ 28.61, intensity 40; (2 0 0), d 2.702, 2θ 33.16, intensity 86; (2 1 0), d 2.417, 2θ 37.21, intensity 55; (2 1 1), d 2.206, 2θ 40.91, intensity 45; (2 2 0), d 1.911, 2θ 47.60, intensity 49; (3 1 1), d 1.629, 2θ 56.48, intensity 100; (2 2 2), d 1.560, 2θ 59.23, intensity 16; (3 0 2), d 1.499, 2θ 61.91, intensity 15; (3 2 1), d 1.444, 2θ 64.52, intensity 21; (4 2 0), d 1.208, 2θ 79.29, intensity 15

Structural model:
```
FeS2
1.0
5.404 0.000 0.000
0.000 5.404 0.000
0.000 0.000 5.404
Fe S
4 8
direct
0.000 0.000 0.000 Fe
0.000 0.500 0.500 Fe
0.500 0.000 0.500 Fe
0.500 0.500 0.000 Fe
0.117 0.617 0.883 S
0.117 0.883 0.383 S
0.383 0.117 0.883 S
0.383 0.383 0.383 S
0.617 0.617 0.617 S
0.617 0.883 0.117 S
0.883 0.117 0.617 S
0.883 0.383 0.117 S
```

(2)
# Sm2ZnAg
Computed X-ray powder pattern, Cu Kα X-rays. Input: a cell relaxed with GGA-PBE.

The 10 most intense peaks (2θ from 10° to 80°), sorted by position:
(1 1 1), d 4.255, 2θ 20.88, intensity 2; (2 0 0), d 3.685, 2θ 24.15, intensity 7; (2 2 0), d 2.606, 2θ 34.42, intensity 100; (3 1 1), d 2.222, 2θ 40.60, intensity 1; (2 2 2), d 2.127, 2θ 42.49, intensity 2; (4 0 0), d 1.842, 2θ 49.47, intensity 18; (4 2 0), d 1.648, 2θ 55.79, intensity 3; (4 2 2), d 1.504, 2θ 61.66, intensity 36; (4 4 0), d 1.303, 2θ 72.56, intensity 11; (6 0 0), d 1.228, 2θ 77.75, intensity 2

Structural model:
```
Sm2ZnAg
1.0
7.370 0.000 0.000
0.000 7.370 0.000
0.000 0.000 7.370
Sm Zn Ag
8 4 4
direct
0.250 0.250 0.250 Sm
0.250 0.250 0.750 Sm
0.250 0.750 0.250 Sm
0.250 0.750 0.750 Sm
0.750 0.250 0.250 Sm
0.750 0.250 0.750 Sm
0.750 0.750 0.250 Sm
0.750 0.750 0.750 Sm
0.000 0.000 0.000 Zn
0.000 0.500 0.500 Zn
0.500 0.000 0.500 Zn
0.500 0.500 0.000 Zn
0.000 0.000 0.500 Ag
0.000 0.500 0.000 Ag
0.500 0.000 0.000 Ag
0.500 0.500 0.500 Ag
```